(1)
This entry pairs a crystal structure of Ce4CrGe8 with its calculated X-ray diffraction stick pattern. Radiation: Cu Kα, 1.54184 Å. Structure: a DFT-relaxed cell (PBE, Alexandria).
Lines closer than 0.1° are merged.

Atomic structure:
```
data_Ce4CrGe8
_cell_length_a 4.078
_cell_length_b 4.217
_cell_length_c 16.419
_cell_angle_alpha 90.00
_cell_angle_beta 90.00
_cell_angle_gamma 90.00
_symmetry_space_group_name_H-M 'P m m 2'
_symmetry_Int_Tables_number 25
_symmetry_space_group_name_Hall 'P 2 -2'
loop_
_atom_site_label
_atom_site_fract_x
_atom_site_fract_y
_atom_site_fract_z
Ce1 0.000 0.000 0.000
Ce2 0.000 0.500 0.489
Ce3 0.500 0.000 0.784
Ce4 0.500 0.500 0.281
Cr1 0.000 0.500 0.704
Ge1 0.000 0.000 0.332
Ge2 0.000 0.000 0.623
Ge3 0.000 0.500 0.140
Ge4 0.000 0.500 0.853
Ge5 0.500 0.000 0.142
Ge6 0.500 0.000 0.434
Ge7 0.500 0.500 0.621
Ge8 0.500 0.500 0.951
```

Top 10 peaks for 2θ = 10–80°, in order of rising 2θ:
2θ 24.37, I 11, (1 0 2); 2θ 26.69, I 10, (0 1 3); 2θ 32.73, I 11, (0 0 6); 2θ 34.70, I 100, (1 1 3); 2θ 39.67, I 14, (1 0 6); 2θ 42.89, I 17, (0 2 0); 2θ 44.43, I 15, (2 0 0); 2θ 63.47, I 10, (2 2 0); 2θ 73.29, I 14, (1 3 3); 2θ 75.52, I 9, (3 1 3)

---

(2)
This entry pairs a crystal structure of Tm6SnOs with its calculated X-ray diffraction stick pattern. Radiation: Cu Kα, 1.54184 Å. Structure: a DFT-relaxed cell (PBE, Alexandria).
Lines closer than 0.1° are merged.

Atomic structure:
```
data_Tm6SnOs
_cell_length_a 6.721
_cell_length_b 6.725
_cell_length_c 7.564
_cell_angle_alpha 90.06
_cell_angle_beta 116.34
_cell_angle_gamma 119.97
_symmetry_space_group_name_H-M 'P -1'
_symmetry_Int_Tables_number 2
_symmetry_space_group_name_Hall '-P 1'
loop_
_atom_site_label
_atom_site_fract_x
_atom_site_fract_y
_atom_site_fract_z
Tm1 0.041 0.082 0.259
Tm2 0.301 0.718 0.259
Tm3 0.323 0.541 0.741
Sn1 0.500 0.000 0.000
Os1 0.500 0.500 0.500
```

Top 10 peaks for 2θ = 10–80°, in order of rising 2θ:
2θ 17.75, I 14, (0 1 -1); 2θ 23.82, I 20, (0 1 1); 2θ 27.47, I 15, (0 0 2); 2θ 29.93, I 100, (-2 1 2); 2θ 32.09, I 13, (2 0 -2); 2θ 38.55, I 51, (1 1 1); 2θ 46.80, I 29, (3 0 -2); 2θ 50.12, I 24, (2 -1 2); 2θ 56.55, I 13, (2 2 -3); 2θ 76.50, I 13, (3 -3 3)